1.
Structure and calculated PXRD pattern of Ac4B3PtRh12 (a crystal structure in Alexandria, relaxed with PBE; Cu Kα, 1.54184 Å).
Kinematic intensities with the Lorentz-polarization factor, no thermal factor.

Cell and atoms:
```
data_Ac4B3PtRh12
_cell_length_a 8.9514
_cell_length_b 8.9514
_cell_length_c 8.9514
_cell_angle_alpha 90.00
_cell_angle_beta 90.00
_cell_angle_gamma 90.00
_symmetry_space_group_name_H-M 'I m -3 m'
_symmetry_Int_Tables_number 229
_symmetry_space_group_name_Hall '-I 4 2 3'
loop_
_atom_site_label
_atom_site_type_symbol
_atom_site_fract_x
_atom_site_fract_y
_atom_site_fract_z
_atom_site_occupancy
Ac1 Ac 0.2500 0.2500 0.2500 1
B1 B 0.0000 0.0000 0.5000 1
Pt1 Pt 0.0000 0.0000 0.0000 1
Rh1 Rh 0.0000 0.0000 0.2825 1
Rh2 Rh 0.0000 0.2500 0.5000 1
```

Principal peaks in the range 2θ = 10–80°, low angle first:
| two_theta | intensity | hkl |
| --- | --- | --- |
| 28.20 | 36 | 2 2 0 |
| 31.61 | 7 | 3 1 0 |
| 34.72 | 100 | 2 2 2 |
| 37.60 | 11 | 3 2 1 |
| 40.30 | 74 | 4 0 0 |
| 49.91 | 13 | 4 2 2 |
| 58.31 | 47 | 4 4 0 |
| 66.01 | 10 | 6 2 0 |
| 69.68 | 35 | 6 2 2 |
| 73.26 | 15 | 4 4 4 |

2.
Structure and calculated PXRD pattern of Ac3B2SbPt8 (a crystal structure in Alexandria, relaxed with PBE; Cu Kα, 1.54184 Å).
Kinematic intensities with the Lorentz-polarization factor, no thermal factor.

Cell and atoms:
```
data_Ac3B2SbPt8
_cell_length_a 6.3742
_cell_length_b 6.3742
_cell_length_c 9.3289
_cell_angle_alpha 90.00
_cell_angle_beta 90.00
_cell_angle_gamma 120.00
_symmetry_space_group_name_H-M 'P -3 m 1'
_symmetry_Int_Tables_number 164
_symmetry_space_group_name_Hall '-P 3 2"'
loop_
_atom_site_label
_atom_site_type_symbol
_atom_site_fract_x
_atom_site_fract_y
_atom_site_fract_z
_atom_site_occupancy
Ac1 Ac 0.0000 0.0000 0.0000 1
Ac2 Ac 0.3333 0.6667 0.6370 1
B1 B 0.3333 0.6667 0.2790 1
Sb1 Sb 0.0000 0.0000 0.5000 1
Pt1 Pt 0.1521 0.3043 0.2849 1
Pt2 Pt 0.3333 0.6667 0.0591 1
```

Principal peaks in the range 2θ = 10–80°, low angle first:
| two_theta | intensity | hkl |
| --- | --- | --- |
| 24.99 | 41 | 1 0 2 |
| 28.00 | 45 | 1 1 0 |
| 28.71 | 38 | 0 0 3 |
| 33.87 | 100 | 0 2 1 |
| 34.07 | 59 | 1 1 2 |
| 37.88 | 94 | 2 0 2 |
| 42.06 | 32 | 0 1 4 |
| 43.86 | 39 | 0 2 3 |
| 57.86 | 44 | 2 2 0 |
| 65.86 | 20 | 2 2 3 |

3.
Structure and calculated PXRD pattern of AcSnBPt4 (a crystal structure in Alexandria, relaxed with PBE; Cu Kα, 1.54184 Å).
Kinematic intensities with the Lorentz-polarization factor, no thermal factor.

Cell and atoms:
```
data_AcSnBPt4
_cell_length_a 10.1230
_cell_length_b 10.1230
_cell_length_c 10.1230
_cell_angle_alpha 90.00
_cell_angle_beta 90.00
_cell_angle_gamma 90.00
_symmetry_space_group_name_H-M 'F -4 3 m'
_symmetry_Int_Tables_number 216
_symmetry_space_group_name_Hall 'F -4 2 3'
loop_
_atom_site_label
_atom_site_type_symbol
_atom_site_fract_x
_atom_site_fract_y
_atom_site_fract_z
_atom_site_occupancy
Ac1 Ac 0.0000 0.0000 0.0000 1
Sn1 Sn 0.2500 0.2500 0.2500 1
B1 B 0.0000 0.0000 0.5000 1
Pt1 Pt 0.1091 0.1091 0.3909 1
```

Principal peaks in the range 2θ = 10–80°, low angle first:
| two_theta | intensity | hkl |
| --- | --- | --- |
| 15.16 | 94 | 1 1 1 |
| 17.52 | 29 | 2 0 0 |
| 24.88 | 54 | 2 2 0 |
| 29.26 | 100 | 3 1 1 |
| 30.59 | 78 | 2 2 2 |
| 38.77 | 61 | 3 3 1 |
| 43.81 | 31 | 4 2 2 |
| 46.62 | 72 | 5 1 1 |
| 51.04 | 54 | 4 4 0 |
| 60.68 | 24 | 6 2 2 |

4.
Structure and calculated PXRD pattern of RbAcB12 (a crystal structure in Alexandria, relaxed with PBE; Cu Kα, 1.54184 Å).
Kinematic intensities with the Lorentz-polarization factor, no thermal factor.

Cell and atoms:
```
data_RbAcB12
_cell_length_a 8.4848
_cell_length_b 8.4848
_cell_length_c 8.4848
_cell_angle_alpha 90.00
_cell_angle_beta 90.00
_cell_angle_gamma 90.00
_symmetry_space_group_name_H-M 'F m -3 m'
_symmetry_Int_Tables_number 225
_symmetry_space_group_name_Hall '-F 4 2 3'
loop_
_atom_site_label
_atom_site_type_symbol
_atom_site_fract_x
_atom_site_fract_y
_atom_site_fract_z
_atom_site_occupancy
Rb1 Rb 0.0000 0.0000 0.0000 1
Ac1 Ac 0.0000 0.0000 0.5000 1
B1 B 0.1021 0.2500 0.2500 1
```

Principal peaks in the range 2θ = 10–80°, low angle first:
| two_theta | intensity | hkl |
| --- | --- | --- |
| 18.11 | 36 | 1 1 1 |
| 20.94 | 65 | 2 0 0 |
| 29.78 | 100 | 2 2 0 |
| 35.08 | 22 | 3 1 1 |
| 36.69 | 41 | 2 2 2 |
| 42.62 | 21 | 4 0 0 |
| 47.95 | 50 | 4 2 0 |
| 52.86 | 29 | 4 2 2 |
| 66.07 | 29 | 4 4 2 |
| 70.15 | 20 | 6 2 0 |

5.
Structure and calculated PXRD pattern of AcRe4B4 (a crystal structure in Alexandria, relaxed with PBE; Cu Kα, 1.54184 Å).
Kinematic intensities with the Lorentz-polarization factor, no thermal factor.

Cell and atoms:
```
data_AcRe4B4
_cell_length_a 7.7145
_cell_length_b 7.7145
_cell_length_c 4.1466
_cell_angle_alpha 90.00
_cell_angle_beta 90.00
_cell_angle_gamma 90.00
_symmetry_space_group_name_H-M 'P 42/n'
_symmetry_Int_Tables_number 86
loop_
_symmetry_equiv_pos_as_xyz
'x,y,z'
'-x,-y,-z'
'-y,x+1/2,z+1/2'
'y,-x+1/2,-z+1/2'
'-x+1/2,-y+1/2,z'
'x+1/2,y+1/2,-z'
'y+1/2,-x,z+1/2'
'-y+1/2,x,-z+1/2'
loop_
_atom_site_label
_atom_site_type_symbol
_atom_site_fract_x
_atom_site_fract_y
_atom_site_fract_z
_atom_site_occupancy
Ac1 Ac 0.2500 0.2500 0.2500 1
Re1 Re 0.1086 0.6391 0.1264 1
B1 B 0.0369 0.9173 0.1331 1
```

Principal peaks in the range 2θ = 10–80°, low angle first:
| two_theta | intensity | hkl |
| --- | --- | --- |
| 24.37 | 18 | 1 0 1 |
| 27.01 | 24 | 1 1 1 |
| 33.80 | 100 | 2 1 1 |
| 36.84 | 70 | 1 3 0 |
| 39.55 | 37 | 2 2 1 |
| 43.02 | 18 | 3 1 1 |
| 45.29 | 29 | 1 0 2 |
| 47.84 | 26 | 2 3 1 |
| 67.42 | 17 | 1 4 2 |
| 77.05 | 16 | 4 3 2 |

6.
Structure and calculated PXRD pattern of Ac2B7Rh12 (a crystal structure in Alexandria, relaxed with PBE; Cu Kα, 1.54184 Å).
Kinematic intensities with the Lorentz-polarization factor, no thermal factor.

Cell and atoms:
```
data_Ac2B7Rh12
_cell_length_a 8.4591
_cell_length_b 8.4591
_cell_length_c 4.9087
_cell_angle_alpha 90.00
_cell_angle_beta 90.00
_cell_angle_gamma 120.00
_symmetry_space_group_name_H-M 'P -3'
_symmetry_Int_Tables_number 147
loop_
_symmetry_equiv_pos_as_xyz
'x,y,z'
'-x,-y,-z'
'-y,x-y,z'
'y,-x+y,-z'
'-x+y,-x,z'
'x-y,x,-z'
loop_
_atom_site_label
_atom_site_type_symbol
_atom_site_fract_x
_atom_site_fract_y
_atom_site_fract_z
_atom_site_occupancy
Ac1 Ac 0.3333 0.6667 0.3254 1
B1 B 0.0000 0.0000 0.5000 1
B2 B 0.1007 0.7061 0.9060 1
Rh1 Rh 0.0813 0.2314 0.2477 1
Rh2 Rh 0.0966 0.4593 0.8010 1
```

Principal peaks in the range 2θ = 10–80°, low angle first:
| two_theta | intensity | hkl |
| --- | --- | --- |
| 27.84 | 10 | 2 -1 1 |
| 32.33 | 22 | 2 1 0 |
| 36.61 | 17 | 0 0 2 |
| 37.29 | 100 | 3 -2 1 |
| 38.69 | 10 | 0 1 2 |
| 49.64 | 12 | 3 -2 2 |
| 57.66 | 16 | 1 4 0 |
| 66.35 | 11 | 2 1 3 |
| 70.27 | 10 | 1 4 2 |
| 70.70 | 11 | 4 2 1 |